Record 1
Diffraction record for Tb2Er6Hg. The powder XRD pattern is simulated, not measured: it uses a PBE-relaxed structure and Cu Kα (λ = 1.5418 Å).

The 10 most intense peaks (10° ≤ 2θ ≤ 90°), sorted by position:
2θ/deg, I (rel.)
31.2, 36
32.1, 100
32.6, 53
33.3, 11
33.4, 43
38.3, 17
47.0, 16
51.7, 15
57.9, 10
58.9, 14

Cell and atoms:
```
Tb2Er6Hg
1.0
9.805 0.000 0.000
0.000 10.163 0.000
0.000 0.000 5.362
Tb Er Hg
4 12 2
Cartesian
1.927 2.406 0.000
2.976 7.487 2.681
6.830 2.675 2.681
7.879 7.757 0.000
0.228 3.255 2.681
1.327 9.030 0.000
1.763 5.717 0.000
3.140 0.636 2.681
3.576 3.949 2.681
4.675 8.337 0.000
5.131 1.826 0.000
6.229 6.214 2.681
6.665 9.527 2.681
8.043 4.445 0.000
8.479 1.132 0.000
9.577 6.907 2.681
0.000 0.000 2.681
4.903 5.081 0.000
```

Record 2
Diffraction record for InSn2Au4. The powder XRD pattern is simulated, not measured: it uses a PBE-relaxed structure and Cu Kα (λ = 1.5418 Å).

The 10 most intense peaks (10° ≤ 2θ ≤ 90°), sorted by position:
2θ/deg, I (rel.)
27.1, 38
33.1, 66
34.1, 100
35.0, 55
39.5, 69
41.5, 69
44.1, 48
53.5, 25
57.5, 27
78.0, 43

Cell and atoms:
```
InSn2Au4
1.0
7.207 0.000 0.000
0.000 10.978 0.000
0.000 0.000 4.110
In Sn Au
2 4 8
Cartesian
0.000 0.000 0.000
3.603 5.489 0.000
1.029 3.726 2.055
2.574 9.215 2.055
4.633 1.763 2.055
6.178 7.252 2.055
0.786 8.204 0.000
1.794 6.374 2.055
1.809 0.885 2.055
2.818 2.715 0.000
4.389 8.263 0.000
5.398 10.093 2.055
5.412 4.604 2.055
6.421 2.774 0.000
```

Record 3
Diffraction record for La7Pm3Er2. The powder XRD pattern is simulated, not measured: it uses a PBE-relaxed structure and Cu Kα (λ = 1.5418 Å).

The 10 most intense peaks (10° ≤ 2θ ≤ 90°), sorted by position:
2θ/deg, I (rel.)
29.0, 53
29.8, 79
30.0, 100
30.6, 95
32.6, 65
34.0, 86
48.7, 39
51.3, 33
58.7, 25
60.1, 28

Cell and atoms:
```
La7Pm3Er2
1.0
6.573 0.000 0.000
0.000 3.593 0.000
-1.829 0.000 17.875
La Pm Er
7 3 2
Cartesian
0.000 0.000 0.000
1.140 1.797 3.077
0.815 1.797 8.777
0.274 0.000 14.850
4.470 0.000 3.025
3.929 1.797 9.098
3.604 1.797 14.799
2.375 0.000 6.016
3.286 1.797 0.000
2.369 0.000 11.859
-0.844 1.797 11.965
5.588 1.797 5.911
```

Record 4
Diffraction record for NaMg6Zr. The powder XRD pattern is simulated, not measured: it uses a PBE-relaxed structure and Cu Kα (λ = 1.5418 Å).

The 10 most intense peaks (10° ≤ 2θ ≤ 90°), sorted by position:
2θ/deg, I (rel.)
15.7, 36
23.5, 23
31.8, 28
35.0, 24
36.4, 100
48.0, 17
56.6, 17
63.7, 18
68.3, 19
69.2, 14

Cell and atoms:
```
NaMg6Zr
1.0
5.124 0.000 0.000
0.000 6.499 0.000
0.000 0.000 11.275
Na Mg Zr
2 12 2
Cartesian
0.000 0.000 0.000
0.000 3.249 5.638
0.000 0.000 5.590
0.000 1.582 2.844
0.000 1.667 8.482
0.000 3.249 11.227
0.000 4.832 8.482
0.000 4.916 2.844
2.562 0.000 9.345
2.562 1.579 6.609
2.562 1.671 0.971
2.562 3.249 3.707
2.562 4.828 0.971
2.562 4.920 6.609
2.562 0.000 3.763
2.562 3.249 9.400
```

Record 5
Diffraction record for Pm3Sn2Ge3. The powder XRD pattern is simulated, not measured: it uses a PBE-relaxed structure and Cu Kα (λ = 1.5418 Å).

The 10 most intense peaks (10° ≤ 2θ ≤ 90°), sorted by position:
2θ/deg, I (rel.)
33.0, 22
33.7, 100
41.4, 15
42.5, 14
53.9, 11
54.8, 11
59.4, 13
70.6, 12
70.9, 10
72.2, 11

Cell and atoms:
```
Pm3Sn2Ge3
1.0
4.254 0.000 0.000
0.000 4.366 0.000
0.000 0.000 21.735
Pm Sn Ge
6 4 6
Cartesian
0.000 0.000 0.000
0.000 2.183 7.998
0.000 2.183 13.737
2.127 0.000 2.870
2.127 0.000 18.865
2.127 2.183 10.867
0.000 0.000 5.451
0.000 0.000 16.283
2.127 2.183 5.416
2.127 2.183 16.318
0.000 0.000 10.867
0.000 2.183 2.235
0.000 2.183 19.500
2.127 0.000 8.633
2.127 0.000 13.102
2.127 2.183 0.000
```

Record 6
Diffraction record for Nd6TmSn. The powder XRD pattern is simulated, not measured: it uses a PBE-relaxed structure and Cu Kα (λ = 1.5418 Å).

The 10 most intense peaks (10° ≤ 2θ ≤ 90°), sorted by position:
2θ/deg, I (rel.)
30.6, 100
34.8, 18
35.9, 33
50.9, 24
51.6, 12
59.9, 14
61.2, 28
63.8, 12
83.0, 12
84.2, 6

Cell and atoms:
```
Nd6TmSn
1.0
5.007 0.000 0.000
0.000 5.007 0.000
0.000 0.000 10.298
Nd Tm Sn
6 1 1
Cartesian
0.000 0.000 0.000
0.000 0.000 5.149
0.000 2.504 2.491
0.000 2.504 7.807
2.504 0.000 2.491
2.504 0.000 7.807
2.504 2.504 5.149
2.504 2.504 0.000
```

Record 7
Diffraction record for Cs2Mg2Au. The powder XRD pattern is simulated, not measured: it uses a PBE-relaxed structure and Cu Kα (λ = 1.5418 Å).

The 10 most intense peaks (10° ≤ 2θ ≤ 90°), sorted by position:
2θ/deg, I (rel.)
16.5, 24
21.3, 76
26.9, 55
27.1, 100
29.6, 64
33.4, 25
37.5, 39
43.4, 24
46.8, 41
47.7, 22

Cell and atoms:
```
Cs2Mg2Au
1.0
7.589 0.000 0.000
0.000 7.589 0.000
0.000 0.000 6.620
Cs Mg Au
4 4 2
Cartesian
1.379 2.415 0.000
2.415 6.209 0.000
5.173 1.379 0.000
6.209 5.173 0.000
1.209 5.003 3.310
2.585 1.209 3.310
5.003 6.379 3.310
6.379 2.585 3.310
0.000 0.000 3.310
3.794 3.794 3.310
```

Record 8
Diffraction record for TlAg3Pd3O8. The powder XRD pattern is simulated, not measured: it uses a PBE-relaxed structure and Cu Kα (λ = 1.5418 Å).

The 10 most intense peaks (10° ≤ 2θ ≤ 90°), sorted by position:
2θ/deg, I (rel.)
15.9, 27
16.3, 34
32.2, 50
33.0, 100
33.6, 41
33.9, 61
40.3, 84
52.7, 33
54.5, 30
69.2, 26

Cell and atoms:
```
TlAg3Pd3O8
1.0
6.055 -3.161 0.000
6.055 3.161 0.000
-3.085 0.000 5.557
Tl Ag Pd O
1 3 3 8
Cartesian
0.000 0.000 0.000
-1.542 0.000 2.779
1.485 1.581 2.779
1.485 -1.581 2.779
3.028 1.581 0.000
3.028 -1.581 0.000
6.055 0.000 0.000
0.190 0.000 4.208
4.888 1.402 0.830
2.234 0.000 1.135
4.137 1.402 4.728
4.888 -1.402 0.830
6.791 0.000 4.423
4.137 -1.402 4.728
8.835 0.000 1.349
```

Record 9
Diffraction record for CuReAg2. The powder XRD pattern is simulated, not measured: it uses a PBE-relaxed structure and Cu Kα (λ = 1.5418 Å).

The 10 most intense peaks (10° ≤ 2θ ≤ 90°), sorted by position:
2θ/deg, I (rel.)
10.4, 16
21.0, 7
39.5, 100
42.7, 18
47.5, 30
65.7, 19
69.4, 9
76.0, 10
82.9, 22
85.0, 9

Cell and atoms:
```
CuReAg2
1.0
2.708 0.000 0.000
0.000 2.708 0.000
0.000 0.000 8.479
Cu Re Ag
1 1 2
Cartesian
0.000 0.000 0.000
1.354 1.354 1.869
0.000 0.000 4.112
1.354 1.354 6.428
```

Record 10
Diffraction record for LiTm3Bi3. The powder XRD pattern is simulated, not measured: it uses a PBE-relaxed structure and Cu Kα (λ = 1.5418 Å).

The 10 most intense peaks (10° ≤ 2θ ≤ 90°), sorted by position:
2θ/deg, I (rel.)
19.8, 100
28.9, 73
30.8, 36
31.9, 48
34.6, 57
35.3, 50
36.2, 36
39.1, 20
45.7, 52
50.2, 21

Cell and atoms:
```
LiTm3Bi3
1.0
4.493 2.594 6.177
-4.493 2.594 6.177
0.000 -5.188 6.177
Li Tm Bi
2 6 6
Cartesian
0.000 0.000 3.140
0.000 0.000 15.391
-1.165 -2.110 7.755
-2.410 -0.046 10.775
-1.245 2.064 7.755
1.245 -2.064 10.775
2.410 0.046 7.755
1.165 2.110 10.775
-3.458 -0.076 7.722
-1.663 -3.032 10.808
1.794 -2.957 7.722
-1.794 2.957 10.808
1.663 3.032 7.722
3.458 0.076 10.808
```

Record 11
Diffraction record for BaAcPb2O8. The powder XRD pattern is simulated, not measured: it uses a PBE-relaxed structure and Cu Kα (λ = 1.5418 Å).

The 10 most intense peaks (10° ≤ 2θ ≤ 90°), sorted by position:
2θ/deg, I (rel.)
26.1, 100
29.4, 14
30.6, 24
42.9, 33
43.8, 16
50.2, 17
51.7, 31
53.6, 12
68.8, 14
79.9, 10

Cell and atoms:
```
BaAcPb2O8
1.0
-2.925 2.925 6.070
2.925 -2.925 6.070
2.925 2.925 -6.070
Ba Ac Pb O
1 1 2 8
Cartesian
0.000 0.000 0.000
2.925 0.000 3.035
0.000 0.000 6.070
0.000 2.925 3.035
1.562 1.187 -1.933
1.387 -1.041 4.849
1.883 1.538 1.221
1.738 -1.363 8.003
1.538 3.966 -1.221
1.363 1.738 4.137
1.041 1.387 7.290
1.187 4.287 1.933
```

Record 12
Diffraction record for TlSn2Br6. The powder XRD pattern is simulated, not measured: it uses a PBE-relaxed structure and Cu Kα (λ = 1.5418 Å).

The 10 most intense peaks (10° ≤ 2θ ≤ 90°), sorted by position:
2θ/deg, I (rel.)
17.5, 100
17.6, 98
20.6, 61
25.0, 36
27.0, 65
28.4, 55
32.5, 93
36.5, 39
37.7, 72
44.0, 48

Cell and atoms:
```
TlSn2Br6
1.0
7.015 -2.756 0.000
7.015 2.756 0.000
-5.064 0.000 9.422
Tl Sn Br
1 2 6
Cartesian
0.000 0.000 0.000
-0.700 0.000 6.056
9.666 0.000 3.366
-3.322 0.000 6.527
2.247 0.000 3.785
0.077 0.000 8.616
8.889 0.000 0.806
6.719 0.000 5.637
12.288 0.000 2.895
```